1.
Structure and computed powder diffraction line list of Ba3U2N3O4 (a cell relaxed with GGA-PBE; Cu Kα (λ = 1.5418 Å)).
Neutral-atom scattering factors, no anomalous dispersion.

Top 12 peaks for 10° ≤ 2θ ≤ 80°, low angle first:
d 5.573, 2θ = 15.90°, rel. 10; d 3.156, 2θ = 28.28°, rel. 47; d 3.106, 2θ = 28.75°, rel. 100; d 2.232, 2θ = 40.41°, rel. 25; d 2.163, 2θ = 41.77°, rel. 16; d 1.812, 2θ = 50.35°, rel. 38; d 1.784, 2θ = 51.22°, rel. 19; d 1.578, 2θ = 58.49°, rel. 7; d 1.553, 2θ = 59.53°, rel. 16; d 1.408, 2θ = 66.39°, rel. 5; d 1.372, 2θ = 68.40°, rel. 9; d 1.275, 2θ = 74.44°, rel. 7

Structural model:
```
12
Lattice="-2.1619 2.2339 11.1464 2.1619 -2.2339 11.1464 2.1619 2.2339 -11.1464" Properties=species:S:1:pos:R:3 pbc="T T T"
Ba 0.0000 0.0000 0.0000
Ba 0.0000 0.0000 4.1381
Ba 0.0000 0.0000 18.1547
U 0.0000 0.0000 8.9845
U 0.0000 0.0000 13.3082
N 2.1619 0.0000 8.9391
N 0.0000 0.0000 11.1464
N 0.0000 2.2339 2.2073
O 2.1619 0.0000 2.2274
O 0.0000 0.0000 6.8178
O 0.0000 0.0000 15.4749
O 0.0000 2.2339 8.9190
```

---

2.
Structure and computed powder diffraction line list of Be2Sn2GeRh5 (a cell relaxed with GGA-PBE; Cu Kα (λ = 1.5418 Å)).
Neutral-atom scattering factors, no anomalous dispersion.

Top 12 peaks for 10° ≤ 2θ ≤ 80°, low angle first:
d 2.594, 2θ = 34.58°, rel. 17; d 2.569, 2θ = 34.92°, rel. 63; d 2.320, 2θ = 38.82°, rel. 13; d 2.268, 2θ = 39.73°, rel. 61; d 2.189, 2θ = 41.24°, rel. 100; d 2.091, 2θ = 43.26°, rel. 27; d 2.029, 2θ = 44.67°, rel. 26; d 1.628, 2θ = 56.54°, rel. 18; d 1.346, 2θ = 69.86°, rel. 14; d 1.323, 2θ = 71.31°, rel. 31; d 1.285, 2θ = 73.76°, rel. 11; d 1.225, 2θ = 77.97°, rel. 16

Structural model:
```
20
Lattice="9.3532 0.0000 0.0000 0.0000 9.3532 0.0000 0.0000 0.0000 3.2555" Properties=species:S:1:pos:R:3 pbc="T T T"
Be 1.1767 3.4999 0.0000
Be 3.4999 8.1765 0.0000
Be 5.8533 1.1767 0.0000
Be 8.1765 5.8533 0.0000
Sn 1.5981 6.2746 0.0000
Sn 3.0785 1.5981 0.0000
Sn 6.2746 7.7551 0.0000
Sn 7.7551 3.0785 0.0000
Ge 0.0000 0.0000 0.0000
Ge 4.6766 4.6766 0.0000
Rh 0.0000 4.6766 1.6277
Rh 0.7767 1.8728 1.6277
Rh 1.8728 8.5765 1.6277
Rh 2.8037 3.8999 1.6277
Rh 3.8999 6.5494 1.6277
Rh 4.6766 0.0000 1.6277
Rh 5.4532 2.8037 1.6277
Rh 6.5494 5.4532 1.6277
Rh 7.4803 0.7767 1.6277
Rh 8.5765 7.4803 1.6277
```

---

3.
Structure and computed powder diffraction line list of KNaAu (a cell relaxed with GGA-PBE; Cu Kα (λ = 1.5418 Å)).
Neutral-atom scattering factors, no anomalous dispersion.

Top 12 peaks for 10° ≤ 2θ ≤ 80°, low angle first:
d 4.159, 2θ = 21.37°, rel. 43; d 4.126, 2θ = 21.54°, rel. 85; d 4.010, 2θ = 22.17°, rel. 100; d 2.884, 2θ = 31.01°, rel. 66; d 2.870, 2θ = 31.17°, rel. 33; d 2.420, 2θ = 37.16°, rel. 25; d 2.395, 2θ = 37.56°, rel. 33; d 2.373, 2θ = 37.91°, rel. 42; d 2.362, 2θ = 38.10°, rel. 25; d 2.356, 2θ = 38.20°, rel. 25; d 2.089, 2θ = 43.32°, rel. 44; d 1.702, 2θ = 53.87°, rel. 24

Structural model:
```
18
Lattice="-4.8393 7.1271 4.1586 4.8393 -7.1271 4.1586 4.8393 7.1271 -4.1586" Properties=species:S:1:pos:R:3 pbc="T T T"
K -2.4197 7.1229 4.1586
K 7.2590 0.0042 0.0000
K 2.4197 4.1643 1.0409
K 2.4197 -2.9766 5.2062
K 2.4197 2.9628 5.1995
K 2.4197 10.1037 1.0476
Na 4.8325 5.3992 -1.7038
Na 4.8461 -1.7279 2.4548
Na 0.0068 1.7279 2.4548
Na 4.8325 1.7279 2.4548
Na 0.0000 7.1271 1.3214
Na 0.0000 0.0000 5.4800
Au 4.8347 2.3746 -0.6892
Au 4.8440 -4.7525 3.4694
Au 2.4197 -0.0118 3.4617
Au 2.4197 7.1390 -0.6969
Au 0.0047 4.7525 3.4694
Au 4.8347 4.7525 3.4694
```

---

Please write out number 3 again, unchanged.
Structure and computed powder diffraction line list of KNaAu (a cell relaxed with GGA-PBE; Cu Kα (λ = 1.5418 Å)).
Neutral-atom scattering factors, no anomalous dispersion.

Top 12 peaks for 10° ≤ 2θ ≤ 80°, low angle first:
d 4.159, 2θ = 21.37°, rel. 43; d 4.126, 2θ = 21.54°, rel. 85; d 4.010, 2θ = 22.17°, rel. 100; d 2.884, 2θ = 31.01°, rel. 66; d 2.870, 2θ = 31.17°, rel. 33; d 2.420, 2θ = 37.16°, rel. 25; d 2.395, 2θ = 37.56°, rel. 33; d 2.373, 2θ = 37.91°, rel. 42; d 2.362, 2θ = 38.10°, rel. 25; d 2.356, 2θ = 38.20°, rel. 25; d 2.089, 2θ = 43.32°, rel. 44; d 1.702, 2θ = 53.87°, rel. 24

Structural model:
```
18
Lattice="-4.8393 7.1271 4.1586 4.8393 -7.1271 4.1586 4.8393 7.1271 -4.1586" Properties=species:S:1:pos:R:3 pbc="T T T"
K -2.4197 7.1229 4.1586
K 7.2590 0.0042 0.0000
K 2.4197 4.1643 1.0409
K 2.4197 -2.9766 5.2062
K 2.4197 2.9628 5.1995
K 2.4197 10.1037 1.0476
Na 4.8325 5.3992 -1.7038
Na 4.8461 -1.7279 2.4548
Na 0.0068 1.7279 2.4548
Na 4.8325 1.7279 2.4548
Na 0.0000 7.1271 1.3214
Na 0.0000 0.0000 5.4800
Au 4.8347 2.3746 -0.6892
Au 4.8440 -4.7525 3.4694
Au 2.4197 -0.0118 3.4617
Au 2.4197 7.1390 -0.6969
Au 0.0047 4.7525 3.4694
Au 4.8347 4.7525 3.4694
```